# 1
Structure and calculated powder diffraction line list of Tb2ErTmS6 (a crystal structure in Alexandria, relaxed with PBE; a wavelength of 1.5418 Å).
No peak broadening, texture or thermal motion is included.

Principal peaks in the range 2θ = 15–90°, low angle first:
| two_theta | intensity |
| --- | --- |
| 17.71 | 415 |
| 24.40 | 970 |
| 25.87 | 1000 |
| 35.86 | 463 |
| 39.29 | 824 |
| 44.75 | 461 |
| 45.63 | 479 |
| 51.89 | 248 |
| 59.35 | 154 |
| 61.75 | 210 |
| 65.37 | 198 |
| 80.06 | 190 |

Crystal structure
```
data_Tb2ErTmS6
_symmetry_space_group_name_H-M 'P 1'
_symmetry_Int_Tables_number 1
_cell_length_a 7.322
_cell_length_b 7.322
_cell_length_c 7.322
_cell_angle_alpha 56.11
_cell_angle_beta 56.11
_cell_angle_gamma 56.11
loop_
_symmetry_equiv_pos_as_xyz
'x,y,z'
loop_
_atom_site_label
_atom_site_fract_x
_atom_site_fract_y
_atom_site_fract_z
Tb1 0.000 0.000 0.000
Tb2 0.500 0.500 0.500
Er1 0.201 0.201 0.201
Tm1 0.701 0.701 0.701
S1 0.093 0.408 0.806
S2 0.307 0.907 0.594
S3 0.408 0.806 0.093
S4 0.594 0.307 0.907
S5 0.806 0.093 0.408
S6 0.907 0.594 0.307
```

# 2
Structure and calculated powder diffraction line list of Ba2CaBiO5 (a crystal structure in Alexandria, relaxed with PBE; a wavelength of 1.5418 Å).
No peak broadening, texture or thermal motion is included.

Principal peaks in the range 2θ = 15–90°, low angle first:
| two_theta | intensity |
| --- | --- |
| 19.47 | 272 |
| 25.42 | 205 |
| 25.99 | 415 |
| 28.56 | 1000 |
| 28.74 | 446 |
| 29.60 | 499 |
| 30.60 | 210 |
| 33.45 | 283 |
| 37.51 | 230 |
| 45.38 | 241 |
| 50.15 | 255 |
| 56.43 | 240 |

Crystal structure
```
data_Ba2CaBiO5
_symmetry_space_group_name_H-M 'P 1'
_symmetry_Int_Tables_number 1
_cell_length_a 7.596
_cell_length_b 7.596
_cell_length_c 11.627
_cell_angle_alpha 90.00
_cell_angle_beta 90.00
_cell_angle_gamma 150.79
loop_
_symmetry_equiv_pos_as_xyz
'x,y,z'
loop_
_atom_site_label
_atom_site_fract_x
_atom_site_fract_y
_atom_site_fract_z
Ba1 0.109 0.891 0.500
Ba2 0.149 0.851 0.099
Ba3 0.851 0.149 0.599
Ba4 0.891 0.109 0.000
Ca1 0.222 0.778 0.826
Ca2 0.778 0.222 0.326
Bi1 0.468 0.532 0.272
Bi2 0.532 0.468 0.772
O1 0.057 0.943 0.858
O2 0.279 0.721 0.461
O3 0.323 0.677 0.198
O4 0.381 0.619 0.814
O5 0.491 0.509 0.597
O6 0.509 0.491 0.097
O7 0.619 0.381 0.314
O8 0.677 0.323 0.698
O9 0.721 0.279 0.961
O10 0.943 0.057 0.358
```

# 3
Structure and calculated powder diffraction line list of Tb8C3O4 (a crystal structure in Alexandria, relaxed with PBE; a wavelength of 1.5418 Å).
No peak broadening, texture or thermal motion is included.

Principal peaks in the range 2θ = 15–90°, low angle first:
| two_theta | intensity |
| --- | --- |
| 29.02 | 342 |
| 30.84 | 1000 |
| 35.24 | 798 |
| 49.51 | 293 |
| 51.85 | 298 |
| 58.41 | 137 |
| 60.51 | 271 |
| 61.55 | 144 |
| 64.24 | 138 |
| 83.37 | 102 |
| 84.60 | 122 |
| 87.00 | 123 |

Crystal structure
```
data_Tb8C3O4
_symmetry_space_group_name_H-M 'P 1'
_symmetry_Int_Tables_number 1
_cell_length_a 7.379
_cell_length_b 7.379
_cell_length_c 7.379
_cell_angle_alpha 57.11
_cell_angle_beta 57.11
_cell_angle_gamma 57.11
loop_
_symmetry_equiv_pos_as_xyz
'x,y,z'
loop_
_atom_site_label
_atom_site_fract_x
_atom_site_fract_y
_atom_site_fract_z
Tb1 0.240 0.240 0.240
Tb2 0.243 0.744 0.744
Tb3 0.256 0.256 0.757
Tb4 0.256 0.757 0.256
Tb5 0.744 0.243 0.744
Tb6 0.744 0.744 0.243
Tb7 0.757 0.256 0.256
Tb8 0.760 0.760 0.760
C1 0.000 0.000 0.500
C2 0.000 0.500 0.000
C3 0.500 0.000 0.000
O1 0.000 0.000 0.000
O2 0.359 0.359 0.359
O3 0.500 0.500 0.500
O4 0.641 0.641 0.641
```

# 4
Structure and calculated powder diffraction line list of Ta3Mo5 (a crystal structure in Alexandria, relaxed with PBE; a wavelength of 1.5418 Å).
No peak broadening, texture or thermal motion is included.

Principal peaks in the range 2θ = 15–90°, low angle first:
| two_theta | intensity |
| --- | --- |
| 24.53 | 41 |
| 28.12 | 37 |
| 31.53 | 35 |
| 39.62 | 1000 |
| 39.83 | 198 |
| 57.18 | 68 |
| 57.41 | 133 |
| 71.83 | 204 |
| 71.94 | 69 |
| 72.18 | 136 |
| 85.38 | 90 |
| 85.89 | 22 |

Crystal structure
```
data_Ta3Mo5
_symmetry_space_group_name_H-M 'P 1'
_symmetry_Int_Tables_number 1
_cell_length_a 3.222
_cell_length_b 4.526
_cell_length_c 18.212
_cell_angle_alpha 90.00
_cell_angle_beta 90.00
_cell_angle_gamma 90.00
loop_
_symmetry_equiv_pos_as_xyz
'x,y,z'
loop_
_atom_site_label
_atom_site_fract_x
_atom_site_fract_y
_atom_site_fract_z
Ta1 0.000 0.000 0.000
Ta2 0.000 0.500 0.125
Ta3 0.000 0.500 0.875
Ta4 0.500 0.000 0.375
Ta5 0.500 0.000 0.625
Ta6 0.500 0.500 0.500
Mo1 0.000 0.000 0.248
Mo2 0.000 0.000 0.500
Mo3 0.000 0.000 0.752
Mo4 0.000 0.500 0.372
Mo5 0.000 0.500 0.628
Mo6 0.500 0.000 0.128
Mo7 0.500 0.000 0.872
Mo8 0.500 0.500 0.000
Mo9 0.500 0.500 0.252
Mo10 0.500 0.500 0.748
```

# 5
Structure and calculated powder diffraction line list of PrC2N3 (a crystal structure in Alexandria, relaxed with PBE; a wavelength of 1.5418 Å).
No peak broadening, texture or thermal motion is included.

Principal peaks in the range 2θ = 15–90°, low angle first:
| two_theta | intensity |
| --- | --- |
| 20.11 | 1000 |
| 21.52 | 418 |
| 25.51 | 265 |
| 29.62 | 988 |
| 31.39 | 504 |
| 33.61 | 639 |
| 38.37 | 199 |
| 41.92 | 205 |
| 46.65 | 481 |
| 47.60 | 282 |
| 48.68 | 326 |
| 54.78 | 179 |

Crystal structure
```
data_PrC2N3
_symmetry_space_group_name_H-M 'P 1'
_symmetry_Int_Tables_number 1
_cell_length_a 5.700
_cell_length_b 6.983
_cell_length_c 4.129
_cell_angle_alpha 90.00
_cell_angle_beta 90.00
_cell_angle_gamma 90.00
loop_
_symmetry_equiv_pos_as_xyz
'x,y,z'
loop_
_atom_site_label
_atom_site_fract_x
_atom_site_fract_y
_atom_site_fract_z
Pr1 0.000 0.000 0.000
Pr2 0.500 0.500 0.000
C1 0.000 0.330 0.698
C2 0.000 0.670 0.698
C3 0.500 0.170 0.698
C4 0.500 0.830 0.698
N1 0.000 0.228 0.456
N2 0.000 0.500 0.862
N3 0.000 0.772 0.456
N4 0.500 0.000 0.862
N5 0.500 0.272 0.456
N6 0.500 0.728 0.456
```

# 6
Structure and calculated powder diffraction line list of KCeAg2I8 (a crystal structure in Alexandria, relaxed with PBE; a wavelength of 1.5418 Å).
No peak broadening, texture or thermal motion is included.

Principal peaks in the range 2θ = 15–90°, low angle first:
| two_theta | intensity |
| --- | --- |
| 16.65 | 1000 |
| 20.79 | 942 |
| 24.88 | 640 |
| 26.76 | 680 |
| 28.96 | 341 |
| 32.41 | 931 |
| 33.63 | 968 |
| 35.99 | 262 |
| 40.50 | 829 |
| 46.25 | 230 |
| 46.90 | 268 |
| 51.47 | 322 |

Crystal structure
```
data_KCeAg2I8
_symmetry_space_group_name_H-M 'P 1'
_symmetry_Int_Tables_number 1
_cell_length_a 8.947
_cell_length_b 8.947
_cell_length_c 8.947
_cell_angle_alpha 106.96
_cell_angle_beta 106.96
_cell_angle_gamma 114.62
loop_
_symmetry_equiv_pos_as_xyz
'x,y,z'
loop_
_atom_site_label
_atom_site_fract_x
_atom_site_fract_y
_atom_site_fract_z
K1 0.000 0.000 0.000
Ce1 0.250 0.750 0.500
Ag1 0.500 0.500 0.000
Ag2 0.750 0.250 0.500
I1 0.317 0.108 0.791
I2 0.317 0.527 0.209
I3 0.359 0.031 0.328
I4 0.473 0.683 0.791
I5 0.704 0.031 0.672
I6 0.892 0.683 0.209
I7 0.969 0.296 0.328
I8 0.969 0.641 0.672
```

# 7
Structure and calculated powder diffraction line list of YMg6Bi (a crystal structure in Alexandria, relaxed with PBE; a wavelength of 1.5418 Å).
No peak broadening, texture or thermal motion is included.

Principal peaks in the range 2θ = 15–90°, low angle first:
| two_theta | intensity |
| --- | --- |
| 15.79 | 275 |
| 16.72 | 610 |
| 22.52 | 666 |
| 23.08 | 254 |
| 30.20 | 211 |
| 31.89 | 451 |
| 32.79 | 244 |
| 33.81 | 382 |
| 34.72 | 626 |
| 36.22 | 1000 |
| 47.17 | 305 |
| 54.71 | 315 |

Crystal structure
```
data_YMg6Bi
_symmetry_space_group_name_H-M 'P 1'
_symmetry_Int_Tables_number 1
_cell_length_a 5.302
_cell_length_b 6.374
_cell_length_c 11.836
_cell_angle_alpha 90.00
_cell_angle_beta 90.00
_cell_angle_gamma 90.00
loop_
_symmetry_equiv_pos_as_xyz
'x,y,z'
loop_
_atom_site_label
_atom_site_fract_x
_atom_site_fract_y
_atom_site_fract_z
Y1 0.000 0.000 0.000
Y2 0.000 0.500 0.500
Mg1 0.000 0.249 0.248
Mg2 0.000 0.251 0.748
Mg3 0.000 0.749 0.748
Mg4 0.000 0.751 0.248
Mg5 0.500 0.000 0.164
Mg6 0.500 0.000 0.662
Mg7 0.500 0.243 0.898
Mg8 0.500 0.257 0.398
Mg9 0.500 0.500 0.162
Mg10 0.500 0.500 0.664
Mg11 0.500 0.743 0.398
Mg12 0.500 0.757 0.898
Bi1 0.000 0.000 0.497
Bi2 0.000 0.500 0.997
```

# 8
Structure and calculated powder diffraction line list of La4Dy3Ho4 (a crystal structure in Alexandria, relaxed with PBE; a wavelength of 1.5418 Å).
No peak broadening, texture or thermal motion is included.

Principal peaks in the range 2θ = 15–90°, low angle first:
| two_theta | intensity |
| --- | --- |
| 30.75 | 846 |
| 31.08 | 1000 |
| 31.39 | 493 |
| 32.51 | 249 |
| 34.88 | 154 |
| 37.92 | 198 |
| 38.69 | 217 |
| 42.59 | 243 |
| 50.58 | 150 |
| 56.93 | 213 |
| 57.28 | 250 |
| 60.36 | 324 |

Crystal structure
```
data_La4Dy3Ho4
_symmetry_space_group_name_H-M 'P 1'
_symmetry_Int_Tables_number 1
_cell_length_a 12.134
_cell_length_b 12.134
_cell_length_c 12.134
_cell_angle_alpha 162.89
_cell_angle_beta 133.89
_cell_angle_gamma 49.53
loop_
_symmetry_equiv_pos_as_xyz
'x,y,z'
loop_
_atom_site_label
_atom_site_fract_x
_atom_site_fract_y
_atom_site_fract_z
La1 0.024 0.855 0.170
La2 0.315 0.145 0.170
La3 0.685 0.855 0.830
La4 0.976 0.145 0.830
Dy1 0.000 0.500 0.500
Dy2 0.396 0.396 0.000
Dy3 0.604 0.604 0.000
Ho1 0.265 0.765 0.500
Ho2 0.315 0.000 0.315
Ho3 0.685 0.000 0.685
Ho4 0.735 0.235 0.500
```

# 9
Structure and calculated powder diffraction line list of NaSiAg2S4 (a crystal structure in Alexandria, relaxed with PBE; a wavelength of 1.5418 Å).
No peak broadening, texture or thermal motion is included.

Principal peaks in the range 2θ = 15–90°, low angle first:
| two_theta | intensity |
| --- | --- |
| 17.66 | 206 |
| 18.70 | 493 |
| 23.47 | 252 |
| 26.57 | 311 |
| 30.17 | 1000 |
| 32.08 | 191 |
| 37.92 | 436 |
| 38.05 | 167 |
| 42.61 | 244 |
| 45.08 | 144 |
| 47.01 | 181 |
| 49.21 | 499 |

Crystal structure
```
data_NaSiAg2S4
_symmetry_space_group_name_H-M 'P 1'
_symmetry_Int_Tables_number 1
_cell_length_a 6.703
_cell_length_b 6.718
_cell_length_c 7.582
_cell_angle_alpha 90.00
_cell_angle_beta 90.00
_cell_angle_gamma 90.00
loop_
_symmetry_equiv_pos_as_xyz
'x,y,z'
loop_
_atom_site_label
_atom_site_fract_x
_atom_site_fract_y
_atom_site_fract_z
Na1 0.000 0.000 0.000
Na2 0.500 0.500 0.500
Si1 0.000 0.000 0.500
Si2 0.500 0.500 0.000
Ag1 0.000 0.500 0.287
Ag2 0.000 0.500 0.713
Ag3 0.500 0.000 0.213
Ag4 0.500 0.000 0.787
S1 0.190 0.187 0.655
S2 0.190 0.813 0.345
S3 0.310 0.313 0.155
S4 0.310 0.687 0.845
S5 0.690 0.313 0.845
S6 0.690 0.687 0.155
S7 0.810 0.187 0.345
S8 0.810 0.813 0.655
```

# 10
Structure and calculated powder diffraction line list of Na8ZnHg6 (a crystal structure in Alexandria, relaxed with PBE; a wavelength of 1.5418 Å).
No peak broadening, texture or thermal motion is included.

Principal peaks in the range 2θ = 15–90°, low angle first:
| two_theta | intensity |
| --- | --- |
| 20.23 | 408 |
| 24.56 | 1000 |
| 34.60 | 982 |
| 35.42 | 674 |
| 38.18 | 283 |
| 43.58 | 194 |
| 47.22 | 144 |
| 50.36 | 289 |
| 56.24 | 135 |
| 57.36 | 183 |
| 61.47 | 127 |
| 63.07 | 276 |

Crystal structure
```
data_Na8ZnHg6
_symmetry_space_group_name_H-M 'P 1'
_symmetry_Int_Tables_number 1
_cell_length_a 8.183
_cell_length_b 8.183
_cell_length_c 8.183
_cell_angle_alpha 64.87
_cell_angle_beta 64.87
_cell_angle_gamma 64.87
loop_
_symmetry_equiv_pos_as_xyz
'x,y,z'
loop_
_atom_site_label
_atom_site_fract_x
_atom_site_fract_y
_atom_site_fract_z
Na1 0.017 0.396 0.735
Na2 0.161 0.161 0.161
Na3 0.265 0.983 0.604
Na4 0.396 0.735 0.017
Na5 0.604 0.265 0.983
Na6 0.735 0.017 0.396
Na7 0.839 0.839 0.839
Na8 0.983 0.604 0.265
Zn1 0.500 0.500 0.500
Hg1 0.143 0.759 0.447
Hg2 0.241 0.553 0.857
Hg3 0.447 0.143 0.759
Hg4 0.553 0.857 0.241
Hg5 0.759 0.447 0.143
Hg6 0.857 0.241 0.553
```

# 11
Structure and calculated powder diffraction line list of EuGeI2 (a crystal structure in Alexandria, relaxed with PBE; a wavelength of 1.5418 Å).
No peak broadening, texture or thermal motion is included.

Principal peaks in the range 2θ = 15–90°, low angle first:
| two_theta | intensity |
| --- | --- |
| 24.80 | 929 |
| 25.29 | 1000 |
| 25.47 | 359 |
| 28.49 | 256 |
| 33.68 | 682 |
| 37.92 | 887 |
| 40.21 | 184 |
| 43.38 | 624 |
| 50.98 | 320 |
| 58.95 | 241 |
| 70.25 | 207 |
| 75.96 | 230 |

Crystal structure
```
data_EuGeI2
_symmetry_space_group_name_H-M 'P 1'
_symmetry_Int_Tables_number 1
_cell_length_a 4.172
_cell_length_b 4.172
_cell_length_c 31.469
_cell_angle_alpha 90.00
_cell_angle_beta 90.00
_cell_angle_gamma 120.00
loop_
_symmetry_equiv_pos_as_xyz
'x,y,z'
loop_
_atom_site_label
_atom_site_fract_x
_atom_site_fract_y
_atom_site_fract_z
Eu1 0.000 0.000 0.000
Eu2 0.333 0.667 0.667
Eu3 0.667 0.333 0.333
Ge1 0.000 0.000 0.500
Ge2 0.333 0.667 0.167
Ge3 0.667 0.333 0.833
I1 0.000 0.000 0.104
I2 0.000 0.000 0.896
I3 0.333 0.667 0.563
I4 0.333 0.667 0.771
I5 0.667 0.333 0.229
I6 0.667 0.333 0.437
```